Calculated XRD peak list
Compound: Pr4Sm5Ho
Radiation: λ = 1.5418 Å (Cu Kα)
Structure: the PBE geometry in Alexandria
Kinematic intensities with the Lorentz-polarization factor, no thermal factor.

Main lines, in order of falling intensity (2θ = 10–80°):
Position (°2θ), I/Imax, h k l
33.19, 100, 1 -1 2
33.29, 90, 1 2 -2
30.59, 54, 0 3 0
26.50, 42, 1 1 -1
31.53, 38, 0 0 4
25.64, 36, 0 1 -3
47.65, 26, 1 1 5
31.16, 24, 0 2 3

Cell and atoms:
Cell: 3.596 8.943 11.352 Å, 89.76 89.96 78.64°
Space group P-1 (No. 2)
One atom of each set of equivalent atoms:
Pr 0.027 0.440 0.249 (multiplicity 2)
Pr 0.346 0.810 0.250 (multiplicity 2)
Sm 0.173 0.154 0.052 (multiplicity 2)
Sm 0.175 0.152 0.445 (multiplicity 2)
Sm 0.500 0.500 0.500 (multiplicity 1)
Ho 0.500 0.500 0.000 (multiplicity 1)

---

Calculated XRD peak list
Compound: Na6InHg10
Radiation: λ = 1.5418 Å (Cu Kα)
Structure: the PBE geometry in Alexandria
Kinematic intensities with the Lorentz-polarization factor, no thermal factor.

Main lines, in order of falling intensity (2θ = 10–80°):
Position (°2θ), I/Imax, h k l
35.20, 100, 1 1 2
33.76, 69, 3 0 0
24.20, 65, 2 -1 1
33.15, 63, 3 -1 1
49.57, 29, 4 -2 2
29.67, 27, 2 1 0
22.32, 27, 2 0 0
52.24, 21, 3 2 1

Cell and atoms:
Cell: 9.1976 9.1976 6.1281 Å, 90.00 90.00 120.00°
Space group P-31m (No. 162)
One atom of each set of equivalent atoms:
Na 0.0000 0.3811 0.2834 (multiplicity 6)
In 0.0000 0.0000 0.5000 (multiplicity 1)
Hg 0.0000 0.2635 0.8119 (multiplicity 6)
Hg 0.3333 0.6667 0.0000 (multiplicity 2)
Hg 0.3333 0.6667 0.5000 (multiplicity 2)

---

Question: Number 2 is which compound?
Answer: Na6InHg10